For Ba2Na2LiPb4, a DFT-relaxed cell (GGA-PBE, Alexandria) gives the theoretical powder X-ray diffraction pattern in this record (Cu Ka).

The 10 most intense peaks (10° ≤ 2θ ≤ 80°), in order of rising 2θ:
2θ (°)  Rel. int.
16.82  26
23.92  23
29.39  100
33.98  18
34.11  33
44.77  11
48.95  34
58.02  14
58.19  23
60.98  11

Crystal structure
Cell: 7.448 7.448 7.448 Å, 120.12 120.12 89.79°
Positions (direct):
Ba1 0.250 0.750 0.500
Ba2 0.750 0.250 0.500
Na1 0.223 0.223 0.000
Na2 0.777 0.777 0.000
Li1 0.500 0.500 0.000
Pb1 0.226 0.226 0.452
Pb2 0.226 0.774 0.000
Pb3 0.774 0.226 0.000
Pb4 0.774 0.774 0.548

For Y7AsS5, a DFT-relaxed cell (GGA-PBE, Alexandria) gives the theoretical powder X-ray diffraction pattern in this record (Cu Ka).

The 10 most intense peaks (10° ≤ 2θ ≤ 80°), in order of rising 2θ:
2θ (°)  Rel. int.
28.38  28
30.24  87
30.67  20
31.23  20
31.95  100
33.11  59
33.80  26
45.90  21
46.54  60
46.68  21

Crystal structure
Cell: 6.716 6.716 23.297 Å, 90.08 90.08 33.81°
Positions (direct):
Y1 0.028 0.028 0.250
Y2 0.138 0.138 0.538
Y3 0.138 0.138 0.962
Y4 0.311 0.311 0.177
Y5 0.311 0.311 0.323
Y6 0.409 0.409 0.886
Y7 0.410 0.410 0.614
Y8 0.590 0.590 0.386
Y9 0.591 0.591 0.114
Y10 0.689 0.689 0.677
Y11 0.689 0.689 0.823
Y12 0.862 0.862 0.038
Y13 0.862 0.862 0.462
Y14 0.972 0.972 0.750
As1 0.308 0.308 0.751
As2 0.692 0.692 0.249
S1 0.050 0.050 0.857
S2 0.051 0.051 0.643
S3 0.223 0.223 0.071
S4 0.223 0.223 0.429
S5 0.500 0.500 0.000
S6 0.500 0.500 0.500
S7 0.777 0.777 0.571
S8 0.777 0.777 0.929
S9 0.949 0.949 0.357
S10 0.950 0.950 0.143

For Na2NdI4, a DFT-relaxed cell (GGA-PBE, Alexandria) gives the theoretical powder X-ray diffraction pattern in this record (Cu Ka).

The 10 most intense peaks (10° ≤ 2θ ≤ 80°), in order of rising 2θ:
2θ (°)  Rel. int.
12.18  36
24.40  34
26.23  100
31.56  16
31.85  19
33.02  25
33.15  20
39.05  36
42.27  19
42.44  24

Crystal structure
Cell: 9.003 9.003 8.231 Å, 116.71 116.71 27.37°
Positions (direct):
Na1 0.236 0.236 0.214
Na2 0.764 0.764 0.786
Nd1 0.500 0.500 0.500
I1 0.133 0.133 0.470
I2 0.381 0.381 0.072
I3 0.619 0.619 0.928
I4 0.867 0.867 0.530